This entry pairs a crystal structure of Na2Si3H2O8 with its calculated powder diffraction line list. Radiation: Cu Ka. Structure: a crystal structure in the Materials Project, relaxed with GGA-PBE.

Crystal structure
Lattice parameters (Å, degrees): 7.4006 12.8712 9.2250 90.00 118.99 90.00
Space group P2_1/c (No. 14)
One atom of each set of equivalent atoms:
1 Na 0.1439 0.1677 0.4869
2 Na 0.2973 0.5793 0.9634
3 Si 0.2176 0.6321 0.5620
4 Si 0.2562 0.1011 0.1760
5 Si 0.3554 0.6931 0.3091
6 H 0.1631 0.0061 0.7034
7 H 0.2129 0.1038 0.8193
8 O 0.0268 0.1560 0.0598
9 O 0.1260 0.0821 0.7048
10 O 0.2086 0.6122 0.1723
11 O 0.2603 0.5081 0.5818
12 O 0.2893 0.6840 0.7450
13 O 0.3204 0.0861 0.3655
14 O 0.3501 0.6894 0.4862
15 O 0.3969 0.1845 0.1350

Main lines, sorted by position (2θ = 5–70°):
hkl	two_theta	I (rel.)
0 2 1	17.63	64.5
1 0 -2	19.48	71.2
2 0 0	27.56	100.0
0 4 0	27.72	56.5
1 3 -2	28.58	65.8
1 1 -3	29.96	66.6